For FeNiP2O8, DFT lattice parameters and positions (PBE+U) gives the computed X-ray powder pattern in this record (Cu Kα).

Structure:
```
data_FeNiP2O8
_chemical_formula_sum 'Fe3 Ni3 P6 O24'
_space_group_name_H-M_alt 'P 1'
_space_group_IT_number 1
_cell_length_a 8.435
_cell_length_b 8.435
_cell_length_c 8.435
_cell_angle_alpha 61.08
_cell_angle_beta 61.08
_cell_angle_gamma 61.08
loop_
_space_group_symop_operation_xyz
'x,y,z'
loop_
_atom_site_label
_atom_site_fract_x
_atom_site_fract_y
_atom_site_fract_z
Fe1 0.000 0.000 0.000
Fe2 0.144 0.144 0.144
Fe3 0.643 0.643 0.643
Ni1 0.282 0.282 0.282
Ni2 0.501 0.501 0.501
Ni3 0.784 0.784 0.784
P1 0.087 0.688 0.395
P2 0.195 0.600 0.887
P3 0.395 0.087 0.688
P4 0.600 0.887 0.195
P5 0.688 0.395 0.087
P6 0.887 0.195 0.600
O1 0.047 0.173 0.406
O2 0.058 0.685 0.772
O3 0.107 0.884 0.234
O4 0.137 0.535 0.318
O5 0.148 0.752 0.967
O6 0.173 0.406 0.047
O7 0.227 0.604 0.507
O8 0.234 0.107 0.884
O9 0.318 0.137 0.535
O10 0.406 0.047 0.173
O11 0.407 0.558 0.754
O12 0.507 0.227 0.604
O13 0.528 0.875 0.732
O14 0.535 0.318 0.137
O15 0.558 0.754 0.407
O16 0.604 0.507 0.227
O17 0.685 0.772 0.058
O18 0.732 0.528 0.875
O19 0.752 0.967 0.148
O20 0.754 0.407 0.558
O21 0.772 0.058 0.685
O22 0.875 0.732 0.528
O23 0.884 0.234 0.107
O24 0.967 0.148 0.752
```

The 6 most intense peaks (2θ from 10° to 90°), low angle first:
2θ = 20.7°, 4.287 Å, rel. 100; 2θ = 24.5°, 3.631 Å, rel. 100; 2θ = 33.6°, 2.671 Å, rel. 73; 2θ = 36.3°, 2.475 Å, rel. 44; 2θ = 48.1°, 1.892 Å, rel. 42; 2θ = 50.3°, 1.815 Å, rel. 28